Entry 1:
For Cu5P2O12, a GGA-PBE-relaxed structure gives the theoretical powder diffraction line list in this record (Cu Kα).

Peak list (10 most intense, 2θ from 5° to 70°, by angle)
19.3 deg, rel. 100.0, (1 0 0); 27.3 deg, rel. 16.4, (1 2 -1); 28.4 deg, rel. 29.7, (1 1 -2); 30.0 deg, rel. 24.9, (1 1 2); 31.3 deg, rel. 16.6, (0 1 3); 32.8 deg, rel. 22.6, (0 3 2); 36.1 deg, rel. 25.0, (1 1 -3); 37.7 deg, rel. 61.5, (1 3 -2); 38.0 deg, rel. 18.7, (1 1 3); 39.1 deg, rel. 18.6, (2 0 0)

Atomic structure:
```
data_Cu5P2O12
_symmetry_space_group_name_H-M 'P 1 21/c 1'
_symmetry_Int_Tables_number 14
_symmetry_space_group_name_Hall '-P 2ybc'
_cell_length_a 4.613
_cell_length_b 10.387
_cell_length_c 8.923
_cell_angle_alpha 90.00
_cell_angle_beta 93.33
_cell_angle_gamma 90.00
loop_
_atom_site_label
_atom_site_type_symbol
_atom_site_fract_x
_atom_site_fract_y
_atom_site_fract_z
Cu1 Cu 0.000 0.000 0.000
Cu2 Cu 0.035 0.237 0.367
Cu3 Cu 0.047 0.570 0.864
P1 P 0.480 0.694 0.389
O1 O 0.134 0.088 0.832
O2 O 0.134 0.580 0.074
O3 O 0.259 0.716 0.792
O4 O 0.300 0.620 0.502
O5 O 0.335 0.114 0.210
O6 O 0.337 0.205 0.518
```

---

Entry 2:
For CuP3O9, a GGA-PBE-relaxed structure gives the theoretical powder diffraction line list in this record (Cu Kα).

Peak list (10 most intense, 2θ from 5° to 70°, by angle)
18.1 deg, rel. 24.7, (1 1 1); 23.3 deg, rel. 100.0, (1 0 2); 23.4 deg, rel. 71.7, (1 2 0); 23.7 deg, rel. 32.9, (2 1 0); 25.5 deg, rel. 18.0, (1 1 2); 25.7 deg, rel. 17.6, (1 2 1); 25.9 deg, rel. 29.7, (2 1 1); 33.0 deg, rel. 30.6, (0 1 3); 33.3 deg, rel. 44.7, (1 3 0); 33.8 deg, rel. 31.5, (3 0 1)

Atomic structure:
```
data_CuP3O9
_symmetry_space_group_name_H-M 'P 21 21 21'
_symmetry_Int_Tables_number 19
_symmetry_space_group_name_Hall 'P 2ac 2ab'
_cell_length_a 8.355
_cell_length_b 8.518
_cell_length_c 8.596
_cell_angle_alpha 90.00
_cell_angle_beta 90.00
_cell_angle_gamma 90.00
loop_
_atom_site_label
_atom_site_type_symbol
_atom_site_fract_x
_atom_site_fract_y
_atom_site_fract_z
Cu1 Cu 0.134 0.144 0.352
P1 P 0.032 0.679 0.813
P2 P 0.177 0.513 0.308
P3 P 0.209 0.190 0.949
O1 O 0.046 0.221 0.851
O2 O 0.091 0.375 0.377
O3 O 0.103 0.127 0.582
O4 O 0.104 0.598 0.171
O5 O 0.133 0.814 0.871
O6 O 0.143 0.534 0.760
O7 O 0.161 0.154 0.112
O8 O 0.179 0.915 0.358
O9 O 0.212 0.637 0.446
```

---

Entry 3:
For Cu2P3O9, a GGA-PBE-relaxed structure gives the theoretical powder diffraction line list in this record (Cu Kα).

Peak list (10 most intense, 2θ from 5° to 70°, by angle)
24.6 deg, rel. 100.0, (1 0 2); 29.5 deg, rel. 37.0, (1 1 1); 33.7 deg, rel. 98.4, (1 1 2); 43.2 deg, rel. 19.3, (2 1 0); 47.6 deg, rel. 19.6, (1 1 4); 49.4 deg, rel. 31.5, (3 0 0); 50.5 deg, rel. 20.1, (2 0 4); 61.1 deg, rel. 16.6, (2 2 2); 63.7 deg, rel. 19.7, (3 0 4); 65.6 deg, rel. 15.7, (1 1 6)

Atomic structure:
```
data_Cu2P3O9
_symmetry_space_group_name_H-M 'P 63/m c m'
_symmetry_Int_Tables_number 193
_symmetry_space_group_name_Hall '-P 6c 2'
_cell_length_a 6.3937
_cell_length_b 6.3937
_cell_length_c 9.5435
_cell_angle_alpha 90.00
_cell_angle_beta 90.00
_cell_angle_gamma 120.00
loop_
_atom_site_label
_atom_site_type_symbol
_atom_site_fract_x
_atom_site_fract_y
_atom_site_fract_z
Cu1 Cu 0.3333 0.6667 0.0000
P1 P 0.0000 0.2677 0.2500
O1 O 0.0000 0.2263 0.7500
O2 O 0.0000 0.3864 0.1131
```

---

Entry 4:
For Cu2PO5, a GGA-PBE-relaxed structure gives the theoretical powder diffraction line list in this record (Cu Kα).

Peak list (10 most intense, 2θ from 5° to 70°, by angle)
15.1 deg, rel. 94.2, (1 1 0); 18.5 deg, rel. 100.0, (0 1 1); 18.9 deg, rel. 63.6, (1 0 1); 23.5 deg, rel. 57.3, (1 2 0); 30.6 deg, rel. 85.1, (2 2 0); 33.3 deg, rel. 51.1, (1 3 0); 34.5 deg, rel. 75.9, (1 1 2); 35.2 deg, rel. 43.8, (3 1 0); 36.8 deg, rel. 42.7, (1 3 1); 38.3 deg, rel. 35.9, (2 0 2)

Atomic structure:
```
data_Cu2PO5
_symmetry_space_group_name_H-M 'P n n m'
_symmetry_Int_Tables_number 58
_symmetry_space_group_name_Hall '-P 2 2n'
_cell_length_a 8.013
_cell_length_b 8.567
_cell_length_c 5.796
_cell_angle_alpha 90.00
_cell_angle_beta 90.00
_cell_angle_gamma 90.00
loop_
_atom_site_label
_atom_site_type_symbol
_atom_site_fract_x
_atom_site_fract_y
_atom_site_fract_z
Cu1 Cu 0.000 0.000 0.247
Cu2 Cu 0.152 0.384 0.500
P1 P 0.228 0.753 0.500
O1 O 0.094 0.618 0.500
O2 O 0.122 0.920 0.000
O3 O 0.131 0.914 0.500
O4 O 0.166 0.243 0.220
```